Theoretical PXRD pattern of SbS5Cl for copper Kα, from a DFT-relaxed cell (PBE, Alexandria).
Neutral-atom scattering factors, no anomalous dispersion.

Structure:
```
7
Lattice="5.636 0.000 0.000 -1.177 6.810 0.000 -1.577 -2.076 6.513" Properties=species:S:1:pos:R:3 pbc="T T T"
Sb 0.000 0.000 0.000
S -1.129 1.298 3.787
S -0.156 -0.480 3.634
S -0.992 1.663 5.879
S 3.027 4.739 4.017
S 4.377 4.275 0.025
Cl 2.354 0.230 0.481
```

Largest 10 diffraction maxima, low angle first, 2θ from 10° to 80°:
| 2θ (°) | d [Å] | I/Imax |
| --- | --- | --- |
| 13.6 | 6.502 | 100 |
| 16.1 | 5.509 | 18 |
| 16.6 | 5.330 | 83 |
| 18.8 | 4.714 | 19 |
| 26.7 | 3.340 | 42 |
| 27.4 | 3.257 | 33 |
| 27.5 | 3.244 | 20 |
| 28.6 | 3.126 | 13 |
| 33.1 | 2.705 | 21 |
| 42.6 | 2.125 | 14 |

Theoretical PXRD pattern of SbS3Cl for copper Kα, from a DFT-relaxed cell (PBE, Alexandria).
Neutral-atom scattering factors, no anomalous dispersion.

Structure:
```
10
Lattice="-3.930 5.053 4.961 3.930 -5.053 4.961 3.930 5.053 -4.961" Properties=species:S:1:pos:R:3 pbc="T T T"
Sb 0.000 2.527 1.024
Sb 3.930 2.527 3.937
S 3.930 -0.453 0.833
S 3.930 4.600 -0.833
S -1.965 2.527 2.480
S 1.965 2.527 2.480
S 0.000 0.453 5.794
S 0.000 5.506 4.128
Cl 0.000 0.000 0.000
Cl 0.000 5.053 0.000
```

Largest 10 diffraction maxima, low angle first, 2θ from 10° to 80°:
| 2θ (°) | d [Å] | I/Imax |
| --- | --- | --- |
| 12.5 | 7.080 | 100 |
| 14.4 | 6.161 | 38 |
| 22.6 | 3.930 | 49 |
| 22.8 | 3.907 | 61 |
| 23.0 | 3.875 | 89 |
| 28.0 | 3.190 | 27 |
| 29.0 | 3.080 | 26 |
| 35.5 | 2.528 | 24 |
| 36.6 | 2.455 | 24 |
| 44.8 | 2.023 | 30 |

Theoretical PXRD pattern of SbSCl for copper Kα, from a DFT-relaxed cell (PBE, Alexandria).
Neutral-atom scattering factors, no anomalous dispersion.

Structure:
```
3
Lattice="3.413 -1.969 0.000 3.413 1.969 0.000 -2.125 0.000 6.891" Properties=species:S:1:pos:R:3 pbc="T T T"
Sb 0.000 0.000 0.000
S 0.153 0.000 5.478
Cl 4.558 0.000 1.758
```

Largest 10 diffraction maxima, low angle first, 2θ from 10° to 80°:
| 2θ (°) | d [Å] | I/Imax |
| --- | --- | --- |
| 12.8 | 6.891 | 100 |
| 26.4 | 3.371 | 29 |
| 26.6 | 3.355 | 16 |
| 31.3 | 2.861 | 50 |
| 31.7 | 2.819 | 24 |
| 34.3 | 2.617 | 13 |
| 40.2 | 2.245 | 14 |
| 43.5 | 2.082 | 9 |
| 44.2 | 2.049 | 17 |
| 46.1 | 1.970 | 25 |

Theoretical PXRD pattern of Sb4S5Cl2 for copper Kα, from a DFT-relaxed cell (PBE, Alexandria).
Neutral-atom scattering factors, no anomalous dispersion.

Structure:
```
44
Lattice="11.232 0.000 0.000 0.000 9.537 0.000 0.000 0.000 12.318" Properties=species:S:1:pos:R:3 pbc="T T T"
Sb 0.492 2.384 0.022
Sb 0.642 7.152 6.603
Sb 2.538 5.064 1.832
Sb 2.538 9.241 1.832
Sb 3.078 0.296 7.991
Sb 3.078 4.472 7.991
Sb 4.974 2.384 0.444
Sb 5.124 7.152 6.182
Sb 6.108 2.384 6.137
Sb 6.258 7.152 11.874
Sb 8.154 5.064 4.327
Sb 8.154 9.241 4.327
Sb 8.694 0.296 10.487
Sb 8.694 4.472 10.487
Sb 10.590 2.384 5.715
Sb 10.740 7.152 12.296
S 0.230 0.560 1.723
S 0.230 4.208 1.723
S 2.023 7.152 0.296
S 2.101 5.278 5.864
S 2.101 9.027 5.864
S 3.515 0.509 12.023
S 3.515 4.259 12.023
S 3.593 2.384 6.455
S 5.386 5.329 7.883
S 5.386 8.976 7.883
S 5.846 0.560 4.436
S 5.846 4.208 4.436
S 7.639 7.152 5.863
S 7.717 5.278 0.295
S 7.717 9.027 0.295
S 9.131 0.509 6.454
S 9.131 4.259 6.454
S 9.209 2.384 12.022
S 11.002 5.329 10.595
S 11.002 8.976 10.595
Cl 0.203 2.384 8.118
Cl 2.297 7.152 8.859
Cl 3.319 2.384 2.700
Cl 5.414 7.152 1.959
Cl 5.819 2.384 10.359
Cl 7.913 7.152 9.618
Cl 8.935 2.384 3.459
Cl 11.030 7.152 4.200
```

Largest 10 diffraction maxima, low angle first, 2θ from 10° to 80°:
| 2θ (°) | d [Å] | I/Imax |
| --- | --- | --- |
| 14.4 | 6.159 | 37 |
| 16.4 | 5.400 | 100 |
| 23.6 | 3.770 | 33 |
| 24.5 | 3.635 | 79 |
| 24.9 | 3.575 | 33 |
| 26.6 | 3.353 | 40 |
| 28.5 | 3.131 | 31 |
| 33.2 | 2.699 | 31 |
| 33.7 | 2.657 | 33 |
| 34.7 | 2.587 | 38 |

Theoretical PXRD pattern of SbS8Cl3 for copper Kα, from a DFT-relaxed cell (PBE, Alexandria).
Neutral-atom scattering factors, no anomalous dispersion.

Structure:
```
24
Lattice="8.795 0.000 0.000 -3.173 9.113 0.000 -3.570 -2.967 10.508" Properties=species:S:1:pos:R:3 pbc="T T T"
Sb -0.206 3.586 1.505
Sb 2.258 2.560 9.003
S -2.116 1.133 5.009
S -2.505 -1.046 8.981
S -2.627 8.453 1.853
S -3.300 4.782 7.056
S -0.196 1.486 4.333
S 0.729 -0.303 3.869
S -0.858 -2.170 9.523
S -2.856 6.631 7.864
S 4.909 -0.485 2.645
S 2.910 8.316 0.985
S 1.324 6.449 6.639
S 2.248 4.660 6.175
S 5.352 1.365 3.452
S 4.680 -2.306 8.655
S 4.557 7.193 1.528
S 4.169 5.013 5.500
Cl -3.506 2.427 10.424
Cl -0.984 4.981 3.280
Cl 2.094 3.572 2.146
Cl -0.042 2.574 8.362
Cl 3.036 1.165 7.228
Cl 5.558 3.719 0.084
```

Largest 10 diffraction maxima, low angle first, 2θ from 10° to 80°:
| 2θ (°) | d [Å] | I/Imax |
| --- | --- | --- |
| 11.4 | 7.773 | 50 |
| 11.5 | 7.675 | 36 |
| 13.6 | 6.499 | 51 |
| 15.6 | 5.694 | 39 |
| 16.7 | 5.310 | 51 |
| 19.3 | 4.601 | 100 |
| 22.6 | 3.933 | 77 |
| 23.2 | 3.838 | 54 |
| 24.0 | 3.705 | 63 |
| 26.6 | 3.352 | 64 |

Theoretical PXRD pattern of Sc2SCl3 for copper Kα, from a DFT-relaxed cell (PBE, Alexandria).
Neutral-atom scattering factors, no anomalous dispersion.

Structure:
```
12
Lattice="8.304 -1.829 0.000 8.304 1.829 0.000 -7.798 0.000 10.103" Properties=species:S:1:pos:R:3 pbc="T T T"
Sc 1.190 0.000 3.598
Sc -2.555 0.000 8.849
Sc 11.366 0.000 1.254
Sc 7.620 0.000 6.504
S -0.191 0.000 8.083
S 9.001 0.000 2.020
Cl -5.094 0.000 9.546
Cl -1.214 0.000 4.633
Cl 3.710 0.000 3.003
Cl 5.100 0.000 7.100
Cl 10.025 0.000 5.469
Cl 13.904 0.000 0.557
```

Largest 10 diffraction maxima, low angle first, 2θ from 10° to 80°:
| 2θ (°) | d [Å] | I/Imax |
| --- | --- | --- |
| 13.5 | 6.574 | 100 |
| 28.4 | 3.141 | 14 |
| 33.3 | 2.691 | 77 |
| 34.0 | 2.633 | 38 |
| 42.5 | 2.126 | 15 |
| 45.7 | 1.986 | 12 |
| 47.1 | 1.929 | 24 |
| 49.6 | 1.838 | 22 |
| 49.9 | 1.829 | 11 |
| 61.8 | 1.502 | 11 |

Theoretical PXRD pattern of Se3SCl for copper Kα, from a DFT-relaxed cell (PBE, Alexandria).
Neutral-atom scattering factors, no anomalous dispersion.

Structure:
```
5
Lattice="3.997 2.308 2.383 -3.997 2.308 2.383 0.000 -4.615 2.383" Properties=species:S:1:pos:R:3 pbc="T T T"
Se -1.857 -1.072 2.383
Se 1.857 -1.072 2.383
Se 0.000 2.144 2.383
S 0.000 0.000 1.618
Cl 0.000 0.000 5.692
```

Largest 10 diffraction maxima, low angle first, 2θ from 10° to 80°:
| 2θ (°) | d [Å] | I/Imax |
| --- | --- | --- |
| 17.8 | 4.974 | 24 |
| 28.1 | 3.176 | 37 |
| 28.7 | 3.116 | 100 |
| 36.1 | 2.487 | 26 |
| 42.8 | 2.112 | 21 |
| 44.2 | 2.047 | 13 |
| 45.4 | 1.999 | 37 |
| 54.6 | 1.682 | 14 |
| 58.1 | 1.588 | 16 |
| 60.5 | 1.531 | 13 |

Theoretical PXRD pattern of SiS2Cl for copper Kα, from a DFT-relaxed cell (PBE, Alexandria).
Neutral-atom scattering factors, no anomalous dispersion.

Structure:
```
8
Lattice="-3.291 3.291 4.077 3.291 -3.291 4.077 3.291 3.291 -4.077" Properties=species:S:1:pos:R:3 pbc="T T T"
Si 0.000 0.000 0.000
Si 0.000 3.291 2.038
S 4.937 1.009 -1.019
S 1.009 1.646 1.019
S -1.646 2.282 3.057
S 2.282 1.646 5.096
Cl 3.291 0.000 2.038
Cl 0.000 0.000 4.077
```

Largest 10 diffraction maxima, low angle first, 2θ from 10° to 80°:
| 2θ (°) | d [Å] | I/Imax |
| --- | --- | --- |
| 17.3 | 5.121 | 11 |
| 29.1 | 3.067 | 100 |
| 32.3 | 2.769 | 32 |
| 38.7 | 2.327 | 23 |
| 45.4 | 1.997 | 8 |
| 49.1 | 1.854 | 25 |
| 51.3 | 1.781 | 8 |
| 52.8 | 1.733 | 26 |
| 61.2 | 1.515 | 6 |
| 63.2 | 1.472 | 8 |